1.
Theoretical powder diffractogram of ZrH3Ru for copper Kα, from a cell relaxed with PBE.
Kinematic intensities with the Lorentz-polarization factor, no thermal factor.

Structure:
Lattice parameters (Å, degrees): 3.772 10.668 4.483 90.00 90.00 90.00
Space group Cmc2_1 (No. 36)
Symmetry-distinct sites (fractional):
1 Zr 0.000 0.139 0.000
2 H 0.000 0.087 0.484
3 H 0.000 0.295 0.707
4 H 0.000 0.421 0.356
5 Ru 0.000 0.413 0.971

Peak list (10 most intense, 10° ≤ 2θ ≤ 90°, in order of rising 2θ)
d (Å)  Rel. int.  index
2.786  93  1 1 1
2.667  30  0 4 0
2.588  13  1 3 0
2.292  24  0 4 1
2.241  100  0 0 2
1.886  19  2 0 0
1.716  18  0 4 2
1.443  14  2 0 2
1.294  12  1 3 3
1.195  11  1 7 2

=====

2.
Theoretical powder diffractogram of HS for copper Kα, from a cell relaxed with PBE.
Kinematic intensities with the Lorentz-polarization factor, no thermal factor.

Structure:
Lattice parameters (Å, degrees): 4.667 8.207 8.611 90.00 90.00 90.00
Space group P2_12_12_1 (No. 19)
Symmetry-distinct sites (fractional):
1 H 0.133 0.017 0.096
2 H 0.196 0.354 0.087
3 S 0.109 0.942 0.660
4 S 0.151 0.505 0.026

Peak list (10 most intense, 10° ≤ 2θ ≤ 90°, in order of rising 2θ)
d (Å)  Rel. int.  index
4.103  100  0 2 0
3.813  13  0 1 2
3.670  74  1 1 1
3.165  21  1 0 2
2.953  46  1 1 2
2.506  14  1 2 2
2.276  14  1 3 1
2.070  15  1 3 2
1.811  14  2 0 3
1.657  15  2 2 3